Calculated XRD peak list
Compound: Li4CaSn2
Radiation: Cu Kα
Structure: a cell relaxed with PBE
Peak positions follow from Bragg's law for the DFT cell and can differ from measured ones.

Main lines, by angle (5° ≤ 2θ ≤ 70°):
index	2θ/deg	I/Imax
2 0 0	22.1	38
1 1 1	24.4	100
2 1 0	24.7	26
2 1 1	31.2	22
2 2 0	31.4	29
3 0 1	38.5	28
3 1 1	40.2	38
4 1 0	46.5	16
2 2 2	50.1	16
5 2 1	65.4	17

Cell and atoms:
Cell lengths 8.054, 8.054, 4.737 Å; angles 90.00, 90.00, 90.00 degrees
Atoms (fractional coordinates):
1 Li 0.110 0.361 0.000
2 Li 0.139 0.610 0.500
3 Li 0.361 0.110 0.000
4 Li 0.390 0.861 0.500
5 Li 0.610 0.139 0.500
6 Li 0.639 0.890 0.000
7 Li 0.861 0.390 0.500
8 Li 0.890 0.639 0.000
9 Ca 0.000 0.000 0.500
10 Ca 0.500 0.500 0.000
11 Sn 0.210 0.790 0.000
12 Sn 0.290 0.290 0.500
13 Sn 0.710 0.710 0.500
14 Sn 0.790 0.210 0.000